Ho5NiBi2: simulated X-ray powder pattern (λ = 1.5418 Å (Cu Kα)), based on a structure optimized by DFT (GGA-PBE).
Intensities are scaled so that the largest is 1000.

Cell and atoms:
```
data_Ho5NiBi2
_chemical_formula_sum 'Ho20 Ni4 Bi8'
_cell_length_a 12.310
_cell_length_b 8.907
_cell_length_c 8.000
_cell_angle_alpha 90.00
_cell_angle_beta 90.00
_cell_angle_gamma 90.00
_symmetry_space_group_name_H-M 'P n m a'
_symmetry_Int_Tables_number 62
loop_
_symmetry_equiv_pos_as_xyz
'x,y,z'
'-x,-y,-z'
'-x+1/2,-y,z+1/2'
'x+1/2,y,-z+1/2'
'x+1/2,-y+1/2,-z+1/2'
'-x+1/2,y+1/2,z+1/2'
'-x,y+1/2,-z'
'x,-y+1/2,z'
loop_
_atom_site_label
_atom_site_type_symbol
_atom_site_fract_x
_atom_site_fract_y
_atom_site_fract_z
Ho1 Ho 0.001 0.250 0.049
Ho2 Ho 0.064 0.543 0.323
Ho3 Ho 0.192 0.250 0.618
Ho4 Ho 0.204 0.750 0.656
Ni1 Ni 0.011 0.250 0.424
Bi1 Bi 0.173 0.010 0.928
```

Most intense lines, 15 to 90 degrees two-theta, low angle first:
Position (°2θ)	Rel. int.	h k l
30.92	1000	1 2 2
31.16	712	4 0 1
31.69	991	3 2 1
33.45	433	2 2 2
34.41	218	1 0 3
35.44	220	4 2 0
36.73	160	2 0 3
40.51	346	0 4 0
43.50	148	5 2 1
51.96	158	4 4 1

=====

Ho5NpBi6: simulated X-ray powder pattern (λ = 1.5418 Å (Cu Kα)), based on a structure optimized by DFT (GGA-PBE).
Intensities are scaled so that the largest is 1000.

Cell and atoms:
```
data_Ho5NpBi6
_chemical_formula_sum 'Ho10 Np2 Bi12'
_cell_length_a 7.748
_cell_length_b 13.420
_cell_length_c 7.748
_cell_angle_alpha 90.00
_cell_angle_beta 109.44
_cell_angle_gamma 90.00
_symmetry_space_group_name_H-M 'C 1 2/m 1'
_symmetry_Int_Tables_number 12
loop_
_symmetry_equiv_pos_as_xyz
'x,y,z'
'-x,-y,-z'
'-x,y,-z'
'x,-y,z'
'x+1/2,y+1/2,z'
'-x+1/2,-y+1/2,-z'
'-x+1/2,y+1/2,-z'
'x+1/2,-y+1/2,z'
loop_
_atom_site_label
_atom_site_type_symbol
_atom_site_fract_x
_atom_site_fract_y
_atom_site_fract_z
Ho1 Ho 0.000 0.000 0.000
Ho2 Ho 0.000 0.167 0.500
Ho3 Ho 0.000 0.334 0.000
Np1 Np 0.000 0.500 0.500
Bi1 Bi 0.248 0.000 0.750
Bi2 Bi 0.248 0.167 0.248
```

Most intense lines, 15 to 90 degrees two-theta, low angle first:
Position (°2θ)	Rel. int.	h k l
24.37	13	0 0 2
28.21	1000	1 3 1
40.32	783	2 0 2
47.67	8	2 6 0
49.94	285	4 0 0
58.34	135	2 6 2
66.04	375	4 6 0
73.30	280	5 3 1
87.15	93	4 0 4